Diffraction record for BaCd2AgPb. The X-ray diffraction stick pattern is simulated, not measured: it uses a GGA-PBE-relaxed structure and a wavelength of 1.5418 Å.
Kinematic intensities with the Lorentz-polarization factor, no thermal factor.

Main lines, low angle first (10° ≤ 2θ ≤ 90°):
hkl 1 1 0, 25.2 deg, rel. 24; hkl 0 1 3, 28.7 deg, rel. 42; hkl 1 0 3, 28.8 deg, rel. 49; hkl 1 1 2, 29.4 deg, rel. 100; hkl 0 2 0, 35.8 deg, rel. 47; hkl 2 0 0, 36.2 deg, rel. 45; hkl 1 1 4, 39.6 deg, rel. 53; hkl 0 1 5, 42.0 deg, rel. 37; hkl 1 2 3, 46.6 deg, rel. 26; hkl 2 2 0, 51.8 deg, rel. 32

Structure:
```
data_BaCd2AgPb
_cell_length_a 4.966
_cell_length_b 5.012
_cell_length_c 11.917
_cell_angle_alpha 90.00
_cell_angle_beta 90.00
_cell_angle_gamma 90.00
_symmetry_space_group_name_H-M 'P 1'
_symmetry_Int_Tables_number 1
_symmetry_space_group_name_Hall 'P 1'
loop_
_atom_site_label
_atom_site_fract_x
_atom_site_fract_y
_atom_site_fract_z
Ba1 0.000 0.000 0.000
Ba2 0.500 0.500 0.500
Cd1 0.000 0.000 0.369
Cd2 0.000 0.500 0.253
Cd3 0.500 0.000 0.753
Cd4 0.500 0.500 0.869
Ag1 0.000 0.500 0.746
Ag2 0.500 0.000 0.246
Pb1 0.000 0.000 0.616
Pb2 0.500 0.500 0.116
```